Computed X-ray diffraction stick pattern
Compound: Na6CaSi2Ge3P4O24
Radiation: Cu Kα
Structure: a structure optimized by DFT (GGA-PBE)
Peak positions follow from Bragg's law for the DFT cell and can differ from measured ones.

Cell and atoms:
```
Na6CaSi2Ge3P4O24
1.0
8.819 0.000 0.000
-4.388 7.661 0.000
-4.373 -2.551 7.283
Na Ca Si Ge P O
6 1 2 3 4 24
direct
0.000 0.000 0.000
0.002 0.502 0.503
0.137 0.244 0.747
0.190 0.428 0.293
0.852 0.621 0.727
0.857 0.751 0.265
0.711 0.864 0.566
0.504 0.539 0.765
0.505 0.447 0.252
0.307 0.155 0.446
0.307 0.651 0.949
0.710 0.355 0.063
0.202 0.757 0.245
0.242 0.964 0.760
0.808 0.273 0.767
0.809 0.059 0.256
0.001 0.587 0.229
0.066 0.954 0.765
0.189 0.925 0.264
0.200 0.727 0.069
0.212 0.985 0.572
0.223 0.778 0.769
0.326 0.553 0.775
0.333 0.264 0.271
0.347 0.489 0.078
0.350 0.356 0.575
0.384 0.771 0.413
0.456 0.126 0.923
0.596 0.226 0.591
0.599 0.873 0.099
0.625 0.491 0.944
0.657 0.405 0.228
0.673 0.625 0.431
0.679 0.724 0.768
0.824 0.327 0.942
0.835 0.242 0.223
0.843 0.067 0.441
0.849 0.125 0.772
0.987 0.450 0.766
0.990 0.060 0.260
```

Largest 6 diffraction maxima, by intensity, 2θ = 10–90°:
| index | Position (°2θ) | d (Å) | intensity |
| --- | --- | --- | --- |
| 1 0 -2 | 19.99 | 4.442 | 100 |
| 1 1 1 | 31.79 | 2.815 | 91 |
| -2 1 1 | 20.11 | 4.416 | 81 |
| -2 1 3 | 31.92 | 2.803 | 77 |
| 0 3 -1 | 35.15 | 2.553 | 76 |
| 1 -2 1 | 23.52 | 3.782 | 64 |